Record 1
Structure and computed powder diffraction line list of Cu3NiP2O9 (a cell relaxed with GGA+U; λ = 1.5418 Å (Cu Kα)).
Kinematic intensities with the Lorentz-polarization factor, no thermal factor.

Largest 8 diffraction maxima, sorted by position, 2θ = 15–90°:
| 2theta | intensity |
| --- | --- |
| 20.99 | 43 |
| 28.11 | 45 |
| 29.05 | 84 |
| 32.37 | 90 |
| 33.24 | 58 |
| 33.55 | 100 |
| 35.04 | 55 |
| 42.42 | 45 |

Crystal structure
Unit cell a=8.316 b=10.001 c=9.884 alpha=90.00 beta=126.37 gamma=90.00
Element x y z (fractional)
Cu (0.078, 0.055, 0.402)
Cu (0.078, 0.445, 0.902)
Cu (0.260, 0.188, 0.254)
Cu (0.260, 0.312, 0.754)
Cu (0.418, 0.607, 0.876)
Cu (0.418, 0.893, 0.376)
Cu (0.582, 0.107, 0.624)
Cu (0.582, 0.393, 0.124)
Cu (0.740, 0.688, 0.246)
Cu (0.740, 0.812, 0.746)
Cu (0.922, 0.555, 0.098)
Cu (0.922, 0.945, 0.598)
Ni (0.271, 0.639, 0.501)
Ni (0.271, 0.861, 0.001)
Ni (0.729, 0.139, 0.999)
Ni (0.729, 0.361, 0.499)
P (0.033, 0.160, 0.866)
P (0.033, 0.340, 0.366)
P (0.387, 0.600, 0.242)
P (0.387, 0.900, 0.742)
P (0.613, 0.100, 0.258)
P (0.613, 0.400, 0.758)
P (0.967, 0.660, 0.634)
P (0.967, 0.840, 0.134)
O (0.006, 0.746, 0.280)
O (0.006, 0.754, 0.780)
O (0.114, 0.025, 0.852)
O (0.114, 0.475, 0.352)
O (0.163, 0.563, 0.104)
O (0.163, 0.633, 0.651)
O (0.163, 0.867, 0.151)
O (0.163, 0.937, 0.604)
O (0.179, 0.238, 0.032)
O (0.179, 0.262, 0.532)
O (0.322, 0.061, 0.424)
O (0.322, 0.439, 0.924)
O (0.412, 0.677, 0.390)
O (0.412, 0.823, 0.890)
O (0.446, 0.695, 0.151)
O (0.446, 0.805, 0.651)
O (0.485, 0.526, 0.699)
O (0.485, 0.974, 0.199)
O (0.515, 0.026, 0.801)
O (0.515, 0.474, 0.301)
O (0.554, 0.195, 0.349)
O (0.554, 0.305, 0.849)
O (0.588, 0.177, 0.110)
O (0.588, 0.323, 0.610)
O (0.678, 0.561, 0.076)
O (0.678, 0.939, 0.576)
O (0.821, 0.738, 0.468)
O (0.821, 0.762, 0.968)
O (0.837, 0.063, 0.396)
O (0.837, 0.133, 0.849)
O (0.837, 0.367, 0.349)
O (0.837, 0.437, 0.896)
O (0.886, 0.525, 0.648)
O (0.886, 0.975, 0.148)
O (0.994, 0.246, 0.220)
O (0.994, 0.254, 0.720)

=====

Record 2
Structure and computed powder diffraction line list of Sr2YCoCu2O7 (a cell relaxed with GGA+U; λ = 1.5418 Å (Cu Kα)).
Kinematic intensities with the Lorentz-polarization factor, no thermal factor.

Largest 8 diffraction maxima, sorted by position, 2θ = 15–90°:
| 2theta | intensity |
| --- | --- |
| 32.63 | 29 |
| 32.82 | 100 |
| 33.01 | 31 |
| 38.89 | 28 |
| 47.10 | 42 |
| 58.35 | 17 |
| 58.84 | 19 |
| 68.82 | 9 |

Crystal structure
Unit cell a=12.204 b=12.204 c=12.204 alpha=36.87 beta=154.01 gamma=154.31
Element x y z (fractional)
Sr (0.012, 0.152, 0.164)
Sr (0.012, 0.348, 0.359)
Sr (0.988, 0.652, 0.641)
Sr (0.988, 0.848, 0.836)
Y (0.000, 0.000, 0.000)
Y (0.000, 0.500, 0.500)
Co (0.402, 0.717, 0.186)
Co (0.531, 0.217, 0.814)
Cu (0.501, 0.574, 0.071)
Cu (0.501, 0.930, 0.427)
Cu (0.503, 0.074, 0.573)
Cu (0.503, 0.430, 0.929)
O (0.000, 0.319, 0.810)
O (0.000, 0.690, 0.181)
O (0.002, 0.185, 0.693)
O (0.002, 0.809, 0.317)
O (0.220, 0.858, 0.862)
O (0.486, 0.198, 0.641)
O (0.486, 0.346, 0.789)
O (0.491, 0.309, 0.307)
O (0.491, 0.685, 0.683)
O (0.509, 0.190, 0.190)
O (0.509, 0.819, 0.819)
O (0.557, 0.698, 0.211)
O (0.557, 0.846, 0.359)
O (0.995, 0.358, 0.138)